No. 1
# Mn4Nb2O9
Theoretical X-ray diffraction stick pattern, Cu Kα, 1.54184 Å. Input: the GGA+U geometry in the Materials Project.
Peak positions follow from Bragg's law for the DFT cell and can differ from measured ones.

Peak list (8 most intense, 10° ≤ 2θ ≤ 80°, by angle)
| 2theta | d [Å] | Rel. int. |
| --- | --- | --- |
| 22.7 | 3.924 | 23 |
| 31.3 | 2.856 | 100 |
| 33.0 | 2.712 | 52 |
| 33.2 | 2.700 | 26 |
| 46.3 | 1.962 | 28 |
| 50.9 | 1.795 | 23 |
| 57.9 | 1.592 | 24 |
| 59.2 | 1.561 | 19 |

Crystal structure
```
Mn4Nb2O9
1.0
5.055 -2.700 0.000
5.055 2.700 0.000
-0.639 0.000 13.406
Mn Nb O
8 4 18
direct
0.000 0.000 0.000 Mn
0.000 0.000 0.500 Mn
0.296 0.298 0.425 Mn
0.298 0.296 0.925 Mn
0.331 0.341 0.664 Mn
0.341 0.331 0.164 Mn
0.667 0.681 0.831 Mn
0.681 0.667 0.331 Mn
0.619 0.631 0.588 Nb
0.631 0.619 0.088 Nb
0.951 0.970 0.766 Nb
0.970 0.951 0.266 Nb
0.020 0.393 0.058 O
0.033 0.720 0.882 O
0.118 0.545 0.295 O
0.191 0.809 0.139 O
0.237 0.970 0.349 O
0.322 0.573 0.530 O
0.354 0.719 0.723 O
0.393 0.020 0.558 O
0.471 0.851 0.973 O
0.545 0.118 0.795 O
0.573 0.322 0.030 O
0.640 0.890 0.184 O
0.719 0.354 0.223 O
0.720 0.033 0.382 O
0.809 0.191 0.639 O
0.851 0.471 0.473 O
0.890 0.640 0.684 O
0.970 0.237 0.849 O
```



No. 2
# Li3Ni2C4O12
Theoretical X-ray diffraction stick pattern, Cu Kα, 1.54184 Å. Input: the GGA+U geometry in the Materials Project.
Peak positions follow from Bragg's law for the DFT cell and can differ from measured ones.

Peak list (8 most intense, 10° ≤ 2θ ≤ 80°, by angle)
| 2theta | d [Å] | Rel. int. |
| --- | --- | --- |
| 18.2 | 4.878 | 62 |
| 18.5 | 4.802 | 100 |
| 18.7 | 4.743 | 31 |
| 19.5 | 4.548 | 54 |
| 19.9 | 4.454 | 65 |
| 30.1 | 2.966 | 34 |
| 33.8 | 2.648 | 22 |
| 37.0 | 2.432 | 25 |

Crystal structure
```
Li3Ni2C4O12
1.0
5.394 0.000 0.000
2.544 5.933 0.000
1.542 -0.119 8.051
Li Ni C O
3 2 4 12
direct
0.000 0.000 0.000 Li
0.090 0.497 0.837 Li
0.396 0.902 0.345 Li
0.591 0.456 0.154 Ni
0.824 0.954 0.650 Ni
0.194 0.557 0.452 C
0.563 0.852 0.961 C
0.616 0.347 0.868 C
0.788 0.059 0.364 C
0.003 0.035 0.422 O
0.075 0.489 0.363 O
0.081 0.622 0.605 O
0.370 0.923 0.881 O
0.386 0.430 0.970 O
0.427 0.568 0.390 O
0.532 0.780 0.114 O
0.605 0.005 0.462 O
0.634 0.276 0.724 O
0.756 0.128 0.215 O
0.809 0.845 0.892 O
0.832 0.340 0.925 O
```



No. 3
# Li3Co2O5
Theoretical X-ray diffraction stick pattern, Cu Kα, 1.54184 Å. Input: the GGA+U geometry in the Materials Project.
Peak positions follow from Bragg's law for the DFT cell and can differ from measured ones.

Peak list (8 most intense, 10° ≤ 2θ ≤ 80°, by angle)
| 2theta | d [Å] | Rel. int. |
| --- | --- | --- |
| 18.6 | 4.775 | 100 |
| 36.3 | 2.478 | 27 |
| 36.7 | 2.446 | 12 |
| 43.9 | 2.063 | 57 |
| 44.6 | 2.032 | 27 |
| 57.9 | 1.592 | 12 |
| 64.0 | 1.455 | 15 |
| 64.7 | 1.441 | 15 |

Crystal structure
```
Li3Co2O5
1.0
5.027 0.000 0.000
-1.732 5.550 0.000
-0.862 -1.878 6.200
Li Co O
6 4 10
direct
0.000 0.000 0.000 Li
0.000 0.500 0.000 Li
0.200 0.402 0.397 Li
0.392 0.798 0.806 Li
0.608 0.202 0.194 Li
0.800 0.598 0.603 Li
0.197 0.892 0.394 Co
0.406 0.305 0.805 Co
0.594 0.695 0.195 Co
0.803 0.108 0.606 Co
0.110 0.425 0.700 O
0.118 0.976 0.704 O
0.325 0.843 0.119 O
0.331 0.371 0.092 O
0.489 0.244 0.520 O
0.511 0.756 0.480 O
0.669 0.629 0.908 O
0.675 0.157 0.881 O
0.882 0.024 0.296 O
0.890 0.575 0.300 O
```



No. 4
# Ba2DyWO6
Theoretical X-ray diffraction stick pattern, Cu Kα, 1.54184 Å. Input: the GGA+U geometry in the Materials Project.
Peak positions follow from Bragg's law for the DFT cell and can differ from measured ones.

Peak list (8 most intense, 10° ≤ 2θ ≤ 80°, by angle)
| 2theta | d [Å] | Rel. int. |
| --- | --- | --- |
| 20.8 | 4.262 | 5 |
| 29.6 | 3.014 | 100 |
| 42.4 | 2.131 | 28 |
| 47.7 | 1.906 | 2 |
| 52.6 | 1.740 | 41 |
| 61.5 | 1.507 | 18 |
| 69.8 | 1.348 | 18 |
| 77.6 | 1.230 | 6 |

Crystal structure
```
Ba2DyWO6
1.0
0.000 4.262 4.262
4.262 0.000 4.262
4.262 4.262 0.000
Ba Dy W O
2 1 1 6
direct
0.250 0.250 0.250 Ba
0.750 0.750 0.750 Ba
0.000 0.000 0.000 Dy
0.500 0.500 0.500 W
0.264 0.264 0.736 O
0.264 0.736 0.264 O
0.264 0.736 0.736 O
0.736 0.264 0.264 O
0.736 0.264 0.736 O
0.736 0.736 0.264 O
```



No. 5
# TiMnP2O8
Theoretical X-ray diffraction stick pattern, Cu Kα, 1.54184 Å. Input: the GGA+U geometry in the Materials Project.
Peak positions follow from Bragg's law for the DFT cell and can differ from measured ones.

Peak list (8 most intense, 10° ≤ 2θ ≤ 80°, by angle)
| 2theta | d [Å] | Rel. int. |
| --- | --- | --- |
| 20.4 | 4.348 | 69 |
| 24.0 | 3.705 | 100 |
| 32.6 | 2.746 | 71 |
| 35.8 | 2.510 | 32 |
| 46.8 | 1.942 | 24 |
| 49.2 | 1.853 | 26 |
| 56.0 | 1.643 | 31 |
| 62.3 | 1.491 | 19 |

Crystal structure
```
TiMnP2O8
1.0
4.348 2.511 7.081
-4.348 2.511 7.081
0.000 -5.021 7.081
Ti Mn P O
3 3 6 24
direct
0.000 0.000 0.000 Ti
0.209 0.209 0.209 Ti
0.706 0.706 0.706 Ti
0.357 0.357 0.357 Mn
0.499 0.499 0.499 Mn
0.854 0.854 0.854 Mn
0.099 0.813 0.398 P
0.306 0.602 0.901 P
0.398 0.099 0.813 P
0.602 0.901 0.306 P
0.813 0.398 0.099 P
0.901 0.306 0.602 P
0.026 0.870 0.240 O
0.097 0.293 0.441 O
0.115 0.768 0.927 O
0.162 0.976 0.352 O
0.240 0.026 0.870 O
0.255 0.623 0.404 O
0.293 0.441 0.097 O
0.332 0.546 0.750 O
0.352 0.162 0.976 O
0.404 0.255 0.623 O
0.441 0.097 0.293 O
0.475 0.659 0.852 O
0.546 0.750 0.332 O
0.590 0.934 0.803 O
0.623 0.404 0.255 O
0.659 0.852 0.475 O
0.750 0.332 0.546 O
0.768 0.927 0.115 O
0.803 0.590 0.934 O
0.852 0.475 0.659 O
0.870 0.240 0.026 O
0.927 0.115 0.768 O
0.934 0.803 0.590 O
0.976 0.352 0.162 O
```



No. 6
# Fe2S2O17
Theoretical X-ray diffraction stick pattern, Cu Kα, 1.54184 Å. Input: the GGA+U geometry in the Materials Project.
Peak positions follow from Bragg's law for the DFT cell and can differ from measured ones.

Peak list (8 most intense, 10° ≤ 2θ ≤ 80°, by angle)
| 2theta | d [Å] | Rel. int. |
| --- | --- | --- |
| 10.8 | 8.210 | 22 |
| 11.0 | 8.027 | 100 |
| 24.1 | 3.687 | 42 |
| 24.7 | 3.609 | 16 |
| 27.0 | 3.304 | 19 |
| 28.2 | 3.164 | 15 |
| 29.9 | 2.985 | 17 |
| 34.4 | 2.606 | 17 |

Crystal structure
```
Fe2S2O17
1.0
7.273 0.000 0.000
0.984 8.889 0.000
0.769 4.142 9.975
Fe S O
4 4 34
direct
0.185 0.431 0.058 Fe
0.208 0.695 0.711 Fe
0.792 0.305 0.289 Fe
0.815 0.569 0.942 Fe
0.201 0.128 0.347 S
0.481 0.604 0.151 S
0.519 0.396 0.849 S
0.799 0.872 0.653 S
0.011 0.854 0.637 O
0.040 0.221 0.814 O
0.076 0.175 0.939 O
0.081 0.570 0.880 O
0.160 0.510 0.595 O
0.195 0.053 0.991 O
0.247 0.217 0.201 O
0.248 0.952 0.372 O
0.271 0.503 0.506 O
0.283 0.190 0.432 O
0.290 0.585 0.115 O
0.300 0.887 0.795 O
0.305 0.031 0.719 O
0.338 0.796 0.565 O
0.403 0.340 0.976 O
0.443 0.568 0.764 O
0.473 0.713 0.220 O
0.527 0.287 0.780 O
0.557 0.432 0.236 O
0.597 0.660 0.024 O
0.662 0.204 0.435 O
0.695 0.969 0.281 O
0.700 0.113 0.205 O
0.710 0.415 0.885 O
0.717 0.810 0.568 O
0.729 0.497 0.494 O
0.752 0.048 0.628 O
0.753 0.783 0.799 O
0.805 0.947 0.009 O
0.840 0.490 0.405 O
0.919 0.430 0.120 O
0.924 0.825 0.061 O
0.960 0.779 0.186 O
0.989 0.146 0.363 O
```



No. 7
# Li3Al2FeO6
Theoretical X-ray diffraction stick pattern, Cu Kα, 1.54184 Å. Input: the GGA+U geometry in the Materials Project.
Peak positions follow from Bragg's law for the DFT cell and can differ from measured ones.

Peak list (8 most intense, 10° ≤ 2θ ≤ 80°, by angle)
| 2theta | d [Å] | Rel. int. |
| --- | --- | --- |
| 18.4 | 4.832 | 100 |
| 36.5 | 2.464 | 29 |
| 44.0 | 2.058 | 96 |
| 57.8 | 1.594 | 10 |
| 63.4 | 1.468 | 17 |
| 63.5 | 1.466 | 8 |
| 64.6 | 1.443 | 26 |
| 67.8 | 1.383 | 13 |

Crystal structure
```
Li3Al2FeO6
1.0
2.501 -4.329 0.000
2.501 4.329 0.000
-1.678 0.000 4.832
Li Al Fe O
3 2 1 6
direct
0.000 0.000 0.000 Li
0.333 0.667 0.000 Li
0.667 0.333 0.000 Li
0.167 0.833 0.500 Al
0.833 0.167 0.500 Al
0.500 0.500 0.500 Fe
0.079 0.427 0.282 O
0.225 0.225 0.720 O
0.427 0.079 0.282 O
0.573 0.921 0.718 O
0.775 0.775 0.280 O
0.921 0.573 0.718 O
```